# HfMgPaO6
Theoretical X-ray powder pattern, a wavelength of 1.5418 Å. Input: a structure optimized by DFT (GGA-PBE).
Neutral-atom scattering factors, no anomalous dispersion.

Most intense lines, 2θ from 10° to 90°, by angle:
17.9°, 4.959 Å, I = 19, (0 0 2); 20.2°, 4.406 Å, I = 57, (1 0 1); 25.6°, 3.477 Å, I = 100, (1 1 0); 31.4°, 2.847 Å, I = 21, (1 1 2); 32.6°, 2.744 Å, I = 86, (1 0 3); 36.5°, 2.459 Å, I = 26, (2 0 0); 42.1°, 2.147 Å, I = 18, (2 1 1); 49.8°, 1.831 Å, I = 70, (2 1 3); 62.2°, 1.493 Å, I = 17, (1 1 6); 63.3°, 1.469 Å, I = 21, (3 0 3)

Structural model:
```
18
Lattice="4.917 0.000 0.000 0.000 4.917 0.000 0.000 0.000 9.919" Properties=species:S:1:pos:R:3 pbc="T T T"
Hf 0.000 0.000 0.000
Hf 2.459 2.459 4.959
Mg 0.000 0.000 6.612
Mg 2.459 2.459 1.653
Pa 0.000 0.000 3.320
Pa 2.459 2.459 8.279
O 0.937 0.937 8.291
O 0.951 0.951 1.593
O 0.982 0.982 4.989
O 1.476 3.441 0.030
O 1.507 3.410 6.553
O 1.522 3.396 3.331
O 3.396 1.522 3.331
O 3.410 1.507 6.553
O 3.441 1.476 0.030
O 3.935 3.935 4.989
O 3.966 3.966 1.593
O 3.980 3.980 8.291
```

---

# RbHfMg14O15
Theoretical X-ray powder pattern, a wavelength of 1.5418 Å. Input: a structure optimized by DFT (GGA-PBE).
Neutral-atom scattering factors, no anomalous dispersion.

Most intense lines, 2θ from 10° to 90°, by angle:
14.2°, 6.232 Å, I = 100, (0 1 1); 24.7°, 3.599 Å, I = 71, (1 1 1); 28.7°, 3.111 Å, I = 55, (1 0 2); 35.3°, 2.545 Å, I = 85, (1 2 2); 40.7°, 2.218 Å, I = 77, (0 4 0); 40.9°, 2.204 Å, I = 78, (2 0 0); 41.2°, 2.189 Å, I = 64, (0 0 4); 59.1°, 1.564 Å, I = 46, (2 4 0); 59.3°, 1.558 Å, I = 38, (0 4 4); 59.5°, 1.553 Å, I = 39, (2 0 4)

Structural model:
```
31
Lattice="4.409 0.000 0.000 0.000 8.873 0.000 0.000 0.000 8.755" Properties=species:S:1:pos:R:3 pbc="T T T"
Rb 0.000 0.000 0.000
Hf 0.000 4.436 4.013
Mg 0.000 0.000 3.915
Mg 0.000 2.096 6.218
Mg 0.000 2.327 1.733
Mg 0.000 4.436 8.255
Mg 0.000 6.545 1.733
Mg 0.000 6.777 6.218
Mg 2.204 0.000 1.955
Mg 2.204 0.000 6.108
Mg 2.204 2.148 3.984
Mg 2.204 2.209 8.267
Mg 2.204 4.436 1.645
Mg 2.204 4.436 6.228
Mg 2.204 6.663 8.267
Mg 2.204 6.725 3.984
O 0.000 0.000 5.922
O 0.000 2.316 3.994
O 0.000 2.472 8.305
O 0.000 4.436 1.822
O 0.000 4.436 6.118
O 0.000 6.400 8.305
O 0.000 6.557 3.994
O 2.204 0.000 4.010
O 2.204 0.000 8.067
O 2.204 2.247 1.758
O 2.204 2.262 6.105
O 2.204 4.436 3.969
O 2.204 4.436 8.316
O 2.204 6.610 6.105
O 2.204 6.626 1.758
```

---

# RbHfMg14O15
Theoretical X-ray powder pattern, a wavelength of 1.5418 Å. Input: a structure optimized by DFT (GGA-PBE).
Neutral-atom scattering factors, no anomalous dispersion.

Most intense lines, 2θ from 10° to 90°, by angle:
11.3°, 7.805 Å, I = 43, (0 1 0); 21.3°, 4.176 Å, I = 47, (0 0 3); 22.5°, 3.954 Å, I = 42, (1 0 1); 23.9°, 3.727 Å, I = 41, (0 2 1); 25.7°, 3.471 Å, I = 53, (1 0 2); 26.9°, 3.314 Å, I = 100, (0 2 2); 28.5°, 3.137 Å, I = 45, (0 0 4); 34.6°, 2.593 Å, I = 80, (1 2 2); 43.4°, 2.083 Å, I = 60, (2 0 0); 46.5°, 1.951 Å, I = 45, (0 4 0)

Structural model:
```
31
Lattice="4.166 0.000 0.000 0.000 7.805 0.000 0.000 0.000 12.549" Properties=species:S:1:pos:R:3 pbc="T T T"
Rb 0.000 0.000 0.000
Hf 0.000 3.903 0.290
Mg 0.000 0.000 6.662
Mg 0.000 2.025 3.783
Mg 0.000 2.047 9.430
Mg 0.000 3.903 6.548
Mg 0.000 5.758 9.430
Mg 0.000 5.781 3.783
Mg 2.083 0.000 3.890
Mg 2.083 0.000 9.328
Mg 2.083 1.933 1.735
Mg 2.083 2.054 7.350
Mg 2.083 3.903 4.552
Mg 2.083 3.903 10.474
Mg 2.083 5.752 7.350
Mg 2.083 5.873 1.735
O 0.000 0.000 4.523
O 0.000 2.035 7.341
O 0.000 2.410 1.625
O 0.000 3.903 4.550
O 0.000 3.903 10.704
O 0.000 5.395 1.625
O 0.000 5.770 7.341
O 2.083 0.000 1.794
O 2.083 0.000 7.161
O 2.083 2.052 3.754
O 2.083 2.152 9.421
O 2.083 3.903 0.159
O 2.083 3.903 6.558
O 2.083 5.653 9.421
O 2.083 5.754 3.754
```

---

# RbHfMg6O7
Theoretical X-ray powder pattern, a wavelength of 1.5418 Å. Input: a structure optimized by DFT (GGA-PBE).
Neutral-atom scattering factors, no anomalous dispersion.

Most intense lines, 2θ from 10° to 90°, by angle:
12.9°, 6.872 Å, I = 62, (0 0 2); 22.6°, 3.929 Å, I = 65, (1 0 1); 25.3°, 3.521 Å, I = 100, (1 0 2); 29.2°, 3.055 Å, I = 84, (1 0 3); 31.5°, 2.837 Å, I = 64, (1 1 1); 32.6°, 2.749 Å, I = 33, (0 0 5); 33.5°, 2.671 Å, I = 34, (1 1 2); 34.0°, 2.634 Å, I = 42, (1 0 4); 44.2°, 2.050 Å, I = 62, (2 0 0); 51.6°, 1.771 Å, I = 37, (2 1 2)

Structural model:
```
15
Lattice="4.100 0.000 0.000 0.000 4.100 0.000 0.000 0.000 13.744" Properties=species:S:1:pos:R:3 pbc="T T T"
Rb 0.000 0.000 0.000
Hf 2.050 2.050 11.452
Mg 0.000 0.000 6.405
Mg 0.000 2.050 3.908
Mg 0.000 2.050 8.938
Mg 2.050 0.000 3.908
Mg 2.050 0.000 8.938
Mg 2.050 2.050 6.471
O 0.000 0.000 8.370
O 0.000 2.050 5.943
O 0.000 2.050 10.928
O 2.050 0.000 5.943
O 2.050 0.000 10.928
O 2.050 2.050 8.498
O 2.050 2.050 13.335
```